Simulated PXRD pattern of K6Na15Tl18H for Cu Kα (λ = 1.5418 Å), from a DFT-relaxed cell (GGA-PBE, the Materials Project).
Intensities are scaled so that the largest is 1000.

Atomic structure:
```
K6Na15Tl18H
1.0
10.8848 0.0000 0.0000
0.0000 10.8848 0.0000
0.0000 0.0000 10.8848
K Na Tl H
6 15 18 1
Cartesian
0.0000 2.0276 5.4424 K
0.0000 8.8572 5.4424 K
2.0276 5.4424 0.0000 K
5.4424 0.0000 2.0276 K
5.4424 0.0000 8.8572 K
8.8572 5.4424 0.0000 K
0.0000 0.0000 0.0000 Na
0.0000 5.4424 3.5810 Na
0.0000 5.4424 7.3038 Na
3.0502 3.0502 3.0502 Na
3.0502 3.0502 7.8346 Na
3.0502 7.8346 3.0502 Na
3.0502 7.8346 7.8346 Na
3.5810 0.0000 5.4424 Na
5.4424 3.5810 0.0000 Na
5.4424 7.3038 0.0000 Na
7.3038 0.0000 5.4424 Na
7.8346 3.0502 3.0502 Na
7.8346 3.0502 7.8346 Na
7.8346 7.8346 3.0502 Na
7.8346 7.8346 7.8346 Na
0.0000 2.7678 1.6962 Tl
0.0000 2.7678 9.1886 Tl
0.0000 8.1170 1.6962 Tl
0.0000 8.1170 9.1886 Tl
1.6962 0.0000 2.7678 Tl
1.6962 0.0000 8.1170 Tl
2.7678 1.6962 0.0000 Tl
2.7678 9.1886 0.0000 Tl
2.9966 5.4424 5.4424 Tl
5.4424 2.9966 5.4424 Tl
5.4424 5.4424 2.9966 Tl
5.4424 5.4424 7.8882 Tl
5.4424 7.8882 5.4424 Tl
7.8882 5.4424 5.4424 Tl
8.1170 1.6962 0.0000 Tl
8.1170 9.1886 0.0000 Tl
9.1886 0.0000 2.7678 Tl
9.1886 0.0000 8.1170 Tl
5.4424 5.4424 5.4424 H
```

Most intense lines, 2θ from 10° to 90°, by intensity:
| two_theta | I/Imax |
| --- | --- |
| 33.96 | 1000 |
| 11.50 | 891 |
| 29.59 | 444 |
| 30.73 | 374 |
| 32.91 | 362 |
| 18.22 | 324 |

=====

Simulated PXRD pattern of HfCoSn for Cu Kα (λ = 1.5418 Å), from a DFT-relaxed cell (GGA-PBE, the Materials Project).
Intensities are scaled so that the largest is 1000.

Atomic structure:
```
HfCoSn
1.0
7.1102 0.0000 0.0000
-3.5551 6.1576 0.0000
0.0000 0.0000 7.1640
Hf Co Sn
6 6 6
Cartesian
-1.3720 2.4724 1.7910 Hf
-0.7280 6.1096 1.7910 Hf
2.8271 0.0480 5.3730 Hf
2.1000 3.7332 1.7910 Hf
2.1831 3.6852 5.3730 Hf
5.6550 2.4244 5.3730 Hf
0.0000 0.0000 1.7910 Co
0.0000 0.0000 5.3730 Co
0.0000 4.1051 3.8224 Co
0.0000 4.1051 6.9237 Co
3.5551 2.0525 0.2404 Co
3.5551 2.0525 3.3416 Co
-2.6048 4.5116 0.0000 Sn
-2.6048 4.5116 3.5820 Sn
0.9503 1.6460 0.0000 Sn
0.9503 1.6460 3.5820 Sn
5.2096 0.0000 0.0000 Sn
5.2096 0.0000 3.5820 Sn
```

Most intense lines, 2θ from 10° to 90°, by intensity:
| two_theta | I/Imax |
| --- | --- |
| 35.58 | 1000 |
| 38.56 | 474 |
| 38.69 | 376 |
| 44.12 | 292 |
| 71.84 | 210 |
| 60.02 | 179 |

=====

Simulated PXRD pattern of LiY2Os for Cu Kα (λ = 1.5418 Å), from a DFT-relaxed cell (GGA-PBE, the Materials Project).
Intensities are scaled so that the largest is 1000.

Atomic structure:
```
LiY2Os
1.0
0.0000 3.4794 3.4794
3.4794 0.0000 3.4794
3.4794 3.4794 0.0000
Li Y Os
1 2 1
Cartesian
0.0000 0.0000 0.0000 Li
1.7397 1.7397 1.7397 Y
5.2191 5.2191 5.2191 Y
3.4794 3.4794 3.4794 Os
```

Most intense lines, 2θ from 10° to 90°, by intensity:
| two_theta | I/Imax |
| --- | --- |
| 36.52 | 1000 |
| 22.13 | 559 |
| 65.74 | 354 |
| 43.11 | 300 |
| 52.61 | 174 |
| 88.96 | 160 |

=====

What did the first record say?
Simulated PXRD pattern of K6Na15Tl18H for Cu Kα (λ = 1.5418 Å), from a DFT-relaxed cell (GGA-PBE, the Materials Project).
Intensities are scaled so that the largest is 1000.

Atomic structure:
```
K6Na15Tl18H
1.0
10.8848 0.0000 0.0000
0.0000 10.8848 0.0000
0.0000 0.0000 10.8848
K Na Tl H
6 15 18 1
Cartesian
0.0000 2.0276 5.4424 K
0.0000 8.8572 5.4424 K
2.0276 5.4424 0.0000 K
5.4424 0.0000 2.0276 K
5.4424 0.0000 8.8572 K
8.8572 5.4424 0.0000 K
0.0000 0.0000 0.0000 Na
0.0000 5.4424 3.5810 Na
0.0000 5.4424 7.3038 Na
3.0502 3.0502 3.0502 Na
3.0502 3.0502 7.8346 Na
3.0502 7.8346 3.0502 Na
3.0502 7.8346 7.8346 Na
3.5810 0.0000 5.4424 Na
5.4424 3.5810 0.0000 Na
5.4424 7.3038 0.0000 Na
7.3038 0.0000 5.4424 Na
7.8346 3.0502 3.0502 Na
7.8346 3.0502 7.8346 Na
7.8346 7.8346 3.0502 Na
7.8346 7.8346 7.8346 Na
0.0000 2.7678 1.6962 Tl
0.0000 2.7678 9.1886 Tl
0.0000 8.1170 1.6962 Tl
0.0000 8.1170 9.1886 Tl
1.6962 0.0000 2.7678 Tl
1.6962 0.0000 8.1170 Tl
2.7678 1.6962 0.0000 Tl
2.7678 9.1886 0.0000 Tl
2.9966 5.4424 5.4424 Tl
5.4424 2.9966 5.4424 Tl
5.4424 5.4424 2.9966 Tl
5.4424 5.4424 7.8882 Tl
5.4424 7.8882 5.4424 Tl
7.8882 5.4424 5.4424 Tl
8.1170 1.6962 0.0000 Tl
8.1170 9.1886 0.0000 Tl
9.1886 0.0000 2.7678 Tl
9.1886 0.0000 8.1170 Tl
5.4424 5.4424 5.4424 H
```

Most intense lines, 2θ from 10° to 90°, by intensity:
| two_theta | I/Imax |
| --- | --- |
| 33.96 | 1000 |
| 11.50 | 891 |
| 29.59 | 444 |
| 30.73 | 374 |
| 32.91 | 362 |
| 18.22 | 324 |